# 1
KNb2Zn2O7: calculated PXRD pattern (Cu Kα (weighted mean of Kα1 and Kα2)), based on a cell relaxed with GGA-PBE.
Neutral-atom scattering factors, no anomalous dispersion.

Most intense lines, 2θ = 10–80°, low angle first:
two_theta  I_rel
22.05  47.7
22.81  69.9
26.65  66.2
29.08  43.7
32.56  92.4
32.69  100.0
36.91  44.9
39.12  46.1
43.82  66.0
45.48  58.7

Lattice parameters (Å, degrees): 9.6486 9.6486 9.6486 156.14 155.27 34.63
Element x y z (fractional)
K 0.0000 0.0000 0.0000
Nb 0.3921 0.3921 0.0000
Nb 0.6079 0.6079 0.0000
Zn 0.2324 0.7324 0.5000
Zn 0.7676 0.2676 0.5000
O 0.1156 0.6156 0.5000
O 0.2714 0.2714 0.0000
O 0.3882 0.8882 0.5000
O 0.5000 0.5000 0.0000
O 0.6118 0.1118 0.5000
O 0.7286 0.7286 0.0000
O 0.8844 0.3844 0.5000


# 2
ThHg6: calculated PXRD pattern (Cu Kα (weighted mean of Kα1 and Kα2)), based on a cell relaxed with GGA-PBE.
Neutral-atom scattering factors, no anomalous dispersion.

Most intense lines, 2θ = 10–80°, low angle first:
two_theta  I_rel
17.75  6.9
27.97  12.5
35.07  100.0
35.95  50.3
49.11  7.9
51.75  18.1
52.03  7.0
62.34  15.6
64.06  35.9
74.12  9.5

Lattice parameters (Å, degrees): 4.9962 4.9962 7.4209 90.00 90.00 90.00
Element x y z (fractional)
Th 0.0000 0.0000 0.0000
Hg 0.0000 0.0000 0.5000
Hg 0.0000 0.5000 0.2783
Hg 0.0000 0.5000 0.7217
Hg 0.5000 0.0000 0.2783
Hg 0.5000 0.0000 0.7217
Hg 0.5000 0.5000 0.0000


# 3
Tm4BiPbC: calculated PXRD pattern (Cu Kα (weighted mean of Kα1 and Kα2)), based on a cell relaxed with GGA-PBE.
Neutral-atom scattering factors, no anomalous dispersion.

Most intense lines, 2θ = 10–80°, low angle first:
two_theta  I_rel
26.37  20.7
28.74  55.5
34.07  27.1
34.95  100.0
37.64  55.4
51.67  32.8
54.29  19.5
65.23  20.7
65.67  15.8
66.22  32.2

Lattice parameters (Å, degrees): 8.5871 8.5871 6.7567 90.00 90.00 133.64
Element x y z (fractional)
Tm 0.0000 0.5000 0.0000
Tm 0.0000 0.5000 0.5000
Tm 0.0954 0.9046 0.7500
Tm 0.4019 0.5981 0.7500
Tm 0.5000 0.0000 0.0000
Tm 0.5000 0.0000 0.5000
Tm 0.5981 0.4019 0.2500
Tm 0.9046 0.0954 0.2500
Bi 0.3954 0.6046 0.2500
Bi 0.6046 0.3954 0.7500
Pb 0.1054 0.8946 0.2500
Pb 0.8946 0.1054 0.7500
C 0.2494 0.7506 0.7500
C 0.7506 0.2494 0.2500